No. 1
Diffraction record for P4PtF12. The X-ray powder pattern is theoretical, not measured: it uses a DFT-relaxed cell (GGA-PBE, Alexandria) and Cu Ka.
No peak broadening, texture or thermal motion is included.

Structure:
```
data_P4PtF12
_cell_length_a 8.495
_cell_length_b 8.495
_cell_length_c 8.495
_cell_angle_alpha 90.00
_cell_angle_beta 90.00
_cell_angle_gamma 90.00
_space_group_name_H-M_alt 'I -4 3 m'
_space_group_IT_number 217
_space_group_name_Hall 'I -4 2 3'
loop_
_atom_site_label
_atom_site_fract_x
_atom_site_fract_y
_atom_site_fract_z
P1 0.153 0.153 0.847
Pt1 0.000 0.000 0.000
F1 0.139 0.139 0.662
```

Peak list (12 most intense, 10° ≤ 2θ ≤ 90°, most intense first)
d/Å	I/Imax
6.007	100
3.468	61
2.270	38
3.003	21
2.002	17
2.686	17
1.899	17
1.666	16
1.551	14
1.378	11
1.156	9
1.502	8

No. 2
Diffraction record for La6SmHo2Mg. The X-ray powder pattern is theoretical, not measured: it uses a DFT-relaxed cell (GGA-PBE, Alexandria) and Cu Ka.
No peak broadening, texture or thermal motion is included.

Structure:
```
data_La6SmHo2Mg
_cell_length_a 10.635
_cell_length_b 13.844
_cell_length_c 9.451
_cell_angle_alpha 90.00
_cell_angle_beta 99.04
_cell_angle_gamma 90.00
_space_group_name_H-M_alt 'C 1 2/c 1'
_space_group_IT_number 15
_space_group_name_Hall '-C 2yc'
loop_
_atom_site_label
_atom_site_fract_x
_atom_site_fract_y
_atom_site_fract_z
La1 0.060 0.120 0.100
La2 0.088 0.333 0.917
La3 0.245 0.289 0.329
Sm1 0.000 0.430 0.250
Ho1 0.231 0.467 0.595
Mg1 0.000 0.096 0.750
```

Peak list (12 most intense, 10° ≤ 2θ ≤ 90°, most intense first)
d/Å	I/Imax
2.834	100
3.041	96
2.968	45
2.890	39
2.938	29
3.236	28
3.358	23
2.601	19
2.585	15
1.865	14
1.799	13
2.626	12

No. 3
Diffraction record for Y4HoAl. The X-ray powder pattern is theoretical, not measured: it uses a DFT-relaxed cell (GGA-PBE, Alexandria) and Cu Ka.
No peak broadening, texture or thermal motion is included.

Structure:
```
data_Y4HoAl
_cell_length_a 3.547
_cell_length_b 3.547
_cell_length_c 14.033
_cell_angle_alpha 90.00
_cell_angle_beta 90.00
_cell_angle_gamma 90.00
_space_group_name_H-M_alt 'P 4/m m m'
_space_group_IT_number 123
_space_group_name_Hall '-P 4 2'
loop_
_atom_site_label
_atom_site_fract_x
_atom_site_fract_y
_atom_site_fract_z
Y1 0.000 0.000 0.135
Y2 0.500 0.500 0.322
Ho1 0.000 0.000 0.500
Al1 0.500 0.500 0.000
```

Peak list (12 most intense, 10° ≤ 2θ ≤ 90°, most intense first)
d/Å	I/Imax
2.826	100
2.508	41
1.502	28
3.165	26
1.710	15
1.870	14
1.773	14
1.572	13
2.807	12
1.176	10
2.339	10
1.413	8

No. 4
Diffraction record for Nd5In6. The X-ray powder pattern is theoretical, not measured: it uses a DFT-relaxed cell (GGA-PBE, Alexandria) and Cu Ka.
No peak broadening, texture or thermal motion is included.

Structure:
```
data_Nd5In6
_cell_length_a 5.386
_cell_length_b 7.604
_cell_length_c 16.090
_cell_angle_alpha 90.00
_cell_angle_beta 90.00
_cell_angle_gamma 90.00
_space_group_name_H-M_alt 'I m m m'
_space_group_IT_number 71
_space_group_name_Hall '-I 2 2'
loop_
_atom_site_label
_atom_site_fract_x
_atom_site_fract_y
_atom_site_fract_z
Nd1 0.000 0.000 0.000
Nd2 0.000 0.000 0.316
Nd3 0.000 0.500 0.342
In1 0.000 0.203 0.500
In2 0.000 0.279 0.151
```

Peak list (12 most intense, 10° ≤ 2θ ≤ 90°, most intense first)
d/Å	I/Imax
2.689	100
1.554	20
1.900	18
2.682	18
1.550	13
2.967	12
1.203	5
1.344	5
1.703	5
2.504	5
1.439	5
1.375	4

No. 5
Diffraction record for NdSF. The X-ray powder pattern is theoretical, not measured: it uses a DFT-relaxed cell (GGA-PBE, Alexandria) and Cu Ka.
No peak broadening, texture or thermal motion is included.

Structure:
```
data_NdSF
_cell_length_a 4.6320
_cell_length_b 4.6320
_cell_length_c 21.1199
_cell_angle_alpha 90.00
_cell_angle_beta 90.00
_cell_angle_gamma 120.00
_space_group_name_H-M_alt 'R -3 m'
_space_group_IT_number 166
_space_group_name_Hall '-R 3 2"'
loop_
_atom_site_label
_atom_site_fract_x
_atom_site_fract_y
_atom_site_fract_z
Nd1 0.0000 0.0000 0.2463
S1 0.0000 0.0000 0.3870
F1 0.0000 0.0000 0.1372
```

Peak list (12 most intense, 10° ≤ 2θ ≤ 90°, most intense first)
d/Å	I/Imax
3.750	100
2.316	52
2.205	40
1.935	35
3.520	31
3.194	27
1.970	17
1.315	14
1.501	14
1.597	14
1.869	12
1.250	9

No. 6
Diffraction record for VIn2Pd8. The X-ray powder pattern is theoretical, not measured: it uses a DFT-relaxed cell (GGA-PBE, Alexandria) and Cu Ka.
No peak broadening, texture or thermal motion is included.

Structure:
```
data_VIn2Pd8
_cell_length_a 14.213
_cell_length_b 4.084
_cell_length_c 6.384
_cell_angle_alpha 90.00
_cell_angle_beta 107.62
_cell_angle_gamma 90.00
_space_group_name_H-M_alt 'C 1 2/m 1'
_space_group_IT_number 12
_space_group_name_Hall '-C 2y'
loop_
_atom_site_label
_atom_site_fract_x
_atom_site_fract_y
_atom_site_fract_z
V1 0.000 0.000 0.000
In1 0.219 0.500 0.654
Pd1 0.039 0.500 0.730
Pd2 0.093 0.000 0.441
Pd3 0.135 0.500 0.175
Pd4 0.174 0.000 0.913
```

Peak list (12 most intense, 10° ≤ 2θ ≤ 90°, most intense first)
d/Å	I/Imax
2.305	100
2.316	97
2.042	35
2.032	31
1.934	29
1.405	27
1.223	22
1.440	20
1.225	13
1.175	11
1.218	11
1.153	10